Entry 1:
Diffraction record for Li6Tc4O11. The powder X-ray diffraction pattern is calculated, not measured: it uses a GGA-PBE-relaxed structure and Cu Kα (weighted mean of Kα1 and Kα2).
Intensities are scaled so that the largest is 100.

Atomic structure:
```
data_Li6Tc4O11
_chemical_formula_sum 'Li6 Tc4 O11'
_cell_length_a 4.897
_cell_length_b 5.064
_cell_length_c 8.715
_cell_angle_alpha 77.11
_cell_angle_beta 89.83
_cell_angle_gamma 81.83
_symmetry_space_group_name_H-M 'P 1'
_symmetry_Int_Tables_number 1
_symmetry_space_group_name_Hall 'P 1'
loop_
_atom_site_label
_atom_site_fract_x
_atom_site_fract_y
_atom_site_fract_z
Li1 0.000 0.000 0.000
Li2 0.010 0.000 0.331
Li3 0.239 0.471 0.931
Li4 0.508 0.012 0.846
Li5 0.522 0.010 0.480
Li6 0.761 0.498 0.416
Tc1 0.219 0.504 0.596
Tc2 0.295 0.505 0.238
Tc3 0.711 0.506 0.095
Tc4 0.779 0.489 0.735
O1 0.101 0.280 0.125
O2 0.132 0.239 0.791
O3 0.162 0.279 0.444
O4 0.367 0.761 0.036
O5 0.370 0.725 0.392
O6 0.603 0.265 0.622
O7 0.631 0.287 0.942
O8 0.640 0.245 0.290
O9 0.845 0.723 0.885
O10 0.877 0.760 0.546
O11 0.901 0.723 0.210
```

Principal peaks in the range 2θ = 10–90°, in order of rising 2θ:
| 2theta | d_spacing | I/Imax | h k l |
| --- | --- | --- | --- |
| 18.16 | 4.884 | 100 | 0 1 0 |
| 20.91 | 4.249 | 23 | 0 0 2 |
| 21.38 | 4.155 | 23 | 1 0 1 |
| 24.49 | 3.635 | 23 | 0 1 2 |
| 24.66 | 3.610 | 20 | 1 1 1 |
| 36.94 | 2.433 | 15 | 1 1 3 |
| 37.11 | 2.422 | 12 | 2 0 0 |
| 42.92 | 2.107 | 20 | 1 1 -3 |
| 44.07 | 2.055 | 18 | 2 -1 0 |
| 45.33 | 2.001 | 19 | 1 2 3 |
| 46.18 | 1.966 | 13 | 1 -1 3 |
| 56.91 | 1.618 | 13 | 1 0 -5 |

=====

Entry 2:
Diffraction record for Li4TcTeO6. The powder X-ray diffraction pattern is calculated, not measured: it uses a GGA-PBE-relaxed structure and Cu Kα (weighted mean of Kα1 and Kα2).
Intensities are scaled so that the largest is 100.

Atomic structure:
```
data_Li4TcTeO6
_chemical_formula_sum 'Li8 Tc2 Te2 O12'
_cell_length_a 5.339
_cell_length_b 9.249
_cell_length_c 5.229
_cell_angle_alpha 90.00
_cell_angle_beta 109.80
_cell_angle_gamma 90.00
_symmetry_space_group_name_H-M 'C 1 2 1'
_symmetry_Int_Tables_number 5
_symmetry_space_group_name_Hall 'C 2y'
loop_
_atom_site_label
_atom_site_fract_x
_atom_site_fract_y
_atom_site_fract_z
Li1 0.000 0.000 0.000
Li2 0.000 0.154 0.500
Li3 0.000 0.514 0.500
Li4 0.000 0.841 0.500
Tc1 0.000 0.667 0.000
Te1 0.000 0.333 0.000
O1 0.238 0.509 0.245
O2 0.239 0.823 0.240
O3 0.241 0.669 0.766
```

Principal peaks in the range 2θ = 10–90°, in order of rising 2θ:
| 2theta | d_spacing | I/Imax | h k l |
| --- | --- | --- | --- |
| 18.03 | 4.920 | 100 | 0 0 1 |
| 19.19 | 4.625 | 22 | 0 2 0 |
| 20.12 | 4.414 | 38 | 1 1 0 |
| 22.71 | 3.916 | 29 | 1 1 -1 |
| 26.45 | 3.370 | 20 | 0 2 1 |
| 34.13 | 2.627 | 56 | 2 0 -1 |
| 35.77 | 2.511 | 23 | 1 3 -1 |
| 41.76 | 2.163 | 80 | 1 3 1 |
| 45.83 | 1.980 | 23 | 1 3 -2 |
| 60.02 | 1.541 | 25 | 3 3 -1 |
| 61.05 | 1.518 | 23 | 2 0 2 |
| 63.22 | 1.471 | 19 | 3 3 0 |

=====

Repeat the first record exactly.
Diffraction record for Li6Tc4O11. The powder X-ray diffraction pattern is calculated, not measured: it uses a GGA-PBE-relaxed structure and Cu Kα (weighted mean of Kα1 and Kα2).
Intensities are scaled so that the largest is 100.

Atomic structure:
```
data_Li6Tc4O11
_chemical_formula_sum 'Li6 Tc4 O11'
_cell_length_a 4.897
_cell_length_b 5.064
_cell_length_c 8.715
_cell_angle_alpha 77.11
_cell_angle_beta 89.83
_cell_angle_gamma 81.83
_symmetry_space_group_name_H-M 'P 1'
_symmetry_Int_Tables_number 1
_symmetry_space_group_name_Hall 'P 1'
loop_
_atom_site_label
_atom_site_fract_x
_atom_site_fract_y
_atom_site_fract_z
Li1 0.000 0.000 0.000
Li2 0.010 0.000 0.331
Li3 0.239 0.471 0.931
Li4 0.508 0.012 0.846
Li5 0.522 0.010 0.480
Li6 0.761 0.498 0.416
Tc1 0.219 0.504 0.596
Tc2 0.295 0.505 0.238
Tc3 0.711 0.506 0.095
Tc4 0.779 0.489 0.735
O1 0.101 0.280 0.125
O2 0.132 0.239 0.791
O3 0.162 0.279 0.444
O4 0.367 0.761 0.036
O5 0.370 0.725 0.392
O6 0.603 0.265 0.622
O7 0.631 0.287 0.942
O8 0.640 0.245 0.290
O9 0.845 0.723 0.885
O10 0.877 0.760 0.546
O11 0.901 0.723 0.210
```

Principal peaks in the range 2θ = 10–90°, in order of rising 2θ:
| 2theta | d_spacing | I/Imax | h k l |
| --- | --- | --- | --- |
| 18.16 | 4.884 | 100 | 0 1 0 |
| 20.91 | 4.249 | 23 | 0 0 2 |
| 21.38 | 4.155 | 23 | 1 0 1 |
| 24.49 | 3.635 | 23 | 0 1 2 |
| 24.66 | 3.610 | 20 | 1 1 1 |
| 36.94 | 2.433 | 15 | 1 1 3 |
| 37.11 | 2.422 | 12 | 2 0 0 |
| 42.92 | 2.107 | 20 | 1 1 -3 |
| 44.07 | 2.055 | 18 | 2 -1 0 |
| 45.33 | 2.001 | 19 | 1 2 3 |
| 46.18 | 1.966 | 13 | 1 -1 3 |
| 56.91 | 1.618 | 13 | 1 0 -5 |

=====

Q: Which formula does entry 1 have?
A: Li6Tc4O11